[1]
Calculated X-ray powder pattern
Compound: Rb3Se2O8
Radiation: Cu Kα (λ = 1.5418 Å)
Structure: a DFT-relaxed cell (PBE, the Materials Project)

Top 10 peaks for 2θ = 10–90°, in order of rising 2θ:
25.26°, intensity 1000; 25.48°, intensity 534; 28.84°, intensity 358; 29.07°, intensity 780; 38.88°, intensity 560; 42.24°, intensity 226; 48.97°, intensity 116; 49.15°, intensity 130; 49.52°, intensity 124; 60.26°, intensity 120

Cell and atoms:
a = 8.559 Å, b = 8.559 Å, c = 10.613 Å
α = 101.56°, β = 101.56°, γ = 42.41°
Element x y z (fractional)
Rb 0.031 0.582 0.348
Rb 0.247 0.753 0.750
Rb 0.418 0.969 0.152
Rb 0.582 0.031 0.848
Rb 0.753 0.247 0.250
Rb 0.969 0.418 0.652
Se 0.172 0.599 0.036
Se 0.401 0.828 0.464
Se 0.599 0.172 0.536
Se 0.828 0.401 0.964
O 0.076 0.181 0.891
O 0.120 0.570 0.878
O 0.181 0.076 0.391
O 0.310 0.679 0.060
O 0.321 0.690 0.440
O 0.339 0.352 0.105
O 0.352 0.339 0.605
O 0.430 0.880 0.622
O 0.570 0.120 0.378
O 0.648 0.661 0.395
O 0.661 0.648 0.895
O 0.679 0.310 0.560
O 0.690 0.321 0.940
O 0.819 0.924 0.609
O 0.880 0.430 0.122
O 0.924 0.819 0.109

---

[2]
Calculated X-ray powder pattern
Compound: RbSeO3
Radiation: Cu Kα (λ = 1.5418 Å)
Structure: a DFT-relaxed cell (PBE, the Materials Project)

Top 10 peaks for 2θ = 10–90°, in order of rising 2θ:
22.96°, intensity 151; 25.48°, intensity 1000; 25.86°, intensity 502; 26.89°, intensity 635; 27.75°, intensity 550; 31.13°, intensity 340; 32.61°, intensity 401; 39.78°, intensity 182; 43.97°, intensity 139; 53.15°, intensity 137

Cell and atoms:
a = 5.505 Å, b = 5.772 Å, c = 7.391 Å
α = 107.57°, β = 107.94°, γ = 92.67°
Element x y z (fractional)
Rb 0.130 0.360 0.279
Rb 0.870 0.640 0.721
Se 0.447 0.161 0.792
Se 0.553 0.839 0.208
O 0.231 0.832 0.156
O 0.285 0.892 0.619
O 0.356 0.405 0.722
O 0.644 0.595 0.278
O 0.715 0.108 0.381
O 0.769 0.168 0.844

---

[3]
Calculated X-ray powder pattern
Compound: Rb2Se2O7
Radiation: Cu Kα (λ = 1.5418 Å)
Structure: a DFT-relaxed cell (PBE, the Materials Project)

Top 10 peaks for 2θ = 10–90°, in order of rising 2θ:
22.05°, intensity 289; 24.74°, intensity 1000; 25.20°, intensity 761; 26.39°, intensity 635; 26.70°, intensity 759; 27.75°, intensity 438; 28.45°, intensity 313; 35.94°, intensity 247; 42.17°, intensity 322; 43.63°, intensity 196

Cell and atoms:
a = 7.879 Å, b = 7.879 Å, c = 7.988 Å
α = 93.20°, β = 93.20°, γ = 61.54°
Element x y z (fractional)
Rb 0.003 0.706 0.641
Rb 0.294 0.997 0.859
Rb 0.706 0.003 0.141
Rb 0.997 0.294 0.359
Se 0.219 0.575 0.137
Se 0.425 0.781 0.363
Se 0.575 0.219 0.637
Se 0.781 0.425 0.863
O 0.049 0.641 0.276
O 0.154 0.734 0.989
O 0.266 0.846 0.511
O 0.310 0.347 0.072
O 0.347 0.310 0.572
O 0.359 0.951 0.224
O 0.432 0.568 0.250
O 0.568 0.432 0.750
O 0.641 0.049 0.776
O 0.653 0.690 0.428
O 0.690 0.653 0.928
O 0.734 0.154 0.489
O 0.846 0.266 0.011
O 0.951 0.359 0.724

---

[4]
Calculated X-ray powder pattern
Compound: Rb2SeO4
Radiation: Cu Kα (λ = 1.5418 Å)
Structure: a DFT-relaxed cell (PBE, the Materials Project)

Top 10 peaks for 2θ = 10–90°, in order of rising 2θ:
24.01°, intensity 148; 26.00°, intensity 151; 27.22°, intensity 1000; 28.02°, intensity 889; 28.23°, intensity 558; 36.88°, intensity 161; 39.58°, intensity 289; 49.16°, intensity 141; 49.39°, intensity 142; 49.84°, intensity 185

Cell and atoms:
a = 8.157 Å, b = 6.322 Å, c = 11.056 Å
α = 90.00°, β = 90.00°, γ = 90.00°
Element x y z (fractional)
Rb 0.001 0.250 0.205
Rb 0.173 0.750 0.419
Rb 0.327 0.250 0.919
Rb 0.499 0.750 0.705
Rb 0.501 0.250 0.295
Rb 0.673 0.750 0.081
Rb 0.827 0.250 0.581
Rb 0.999 0.750 0.795
Se 0.225 0.750 0.083
Se 0.275 0.250 0.583
Se 0.725 0.750 0.417
Se 0.775 0.250 0.917
O 0.021 0.750 0.074
O 0.191 0.250 0.443
O 0.211 0.033 0.656
O 0.211 0.467 0.656
O 0.289 0.533 0.156
O 0.289 0.967 0.156
O 0.309 0.750 0.943
O 0.479 0.250 0.574
O 0.521 0.750 0.426
O 0.691 0.250 0.057
O 0.711 0.033 0.844
O 0.711 0.467 0.844
O 0.789 0.533 0.344
O 0.789 0.967 0.344
O 0.809 0.750 0.557
O 0.979 0.250 0.926

---

[5]
Calculated X-ray powder pattern
Compound: RbSe2O6
Radiation: Cu Kα (λ = 1.5418 Å)
Structure: a DFT-relaxed cell (PBE, the Materials Project)

Top 10 peaks for 2θ = 10–90°, in order of rising 2θ:
24.56°, intensity 1000; 27.99°, intensity 202; 28.39°, intensity 148; 28.90°, intensity 120; 40.30°, intensity 99; 40.67°, intensity 101; 47.50°, intensity 137; 48.01°, intensity 83; 48.67°, intensity 126; 50.34°, intensity 85

Cell and atoms:
a = 6.178 Å, b = 6.288 Å, c = 19.125 Å
α = 90.00°, β = 90.00°, γ = 90.00°
Element x y z (fractional)
Rb 0.001 0.021 0.167
Rb 0.499 0.979 0.667
Rb 0.501 0.479 0.833
Rb 0.999 0.521 0.333
Se 0.009 0.456 0.994
Se 0.010 0.959 0.836
Se 0.490 0.041 0.336
Se 0.491 0.544 0.494
Se 0.509 0.044 0.006
Se 0.510 0.541 0.164
Se 0.990 0.459 0.664
Se 0.991 0.956 0.506
O 0.032 0.905 0.422
O 0.053 0.221 0.840
O 0.197 0.821 0.793
O 0.198 0.068 0.547
O 0.242 0.393 0.684
O 0.247 0.456 0.475
O 0.253 0.544 0.975
O 0.258 0.607 0.184
O 0.302 0.932 0.047
O 0.303 0.179 0.293
O 0.447 0.779 0.340
O 0.468 0.095 0.922
O 0.532 0.595 0.578
O 0.553 0.279 0.160
O 0.697 0.679 0.207
O 0.698 0.432 0.453
O 0.742 0.107 0.316
O 0.747 0.044 0.525
O 0.753 0.956 0.025
O 0.758 0.893 0.816
O 0.802 0.568 0.953
O 0.803 0.321 0.707
O 0.947 0.721 0.660
O 0.968 0.405 0.078

---

[6]
Calculated X-ray powder pattern
Compound: Rb3Se2O8
Radiation: Cu Kα (λ = 1.5418 Å)
Structure: a DFT-relaxed cell (PBE, the Materials Project)

Top 10 peaks for 2θ = 10–90°, in order of rising 2θ:
25.57°, intensity 1000; 28.88°, intensity 845; 38.95°, intensity 405; 42.89°, intensity 220; 49.20°, intensity 275; 51.17°, intensity 160; 59.83°, intensity 152; 61.06°, intensity 178; 66.13°, intensity 138; 68.44°, intensity 124

Cell and atoms:
a = 8.439 Å, b = 8.439 Å, c = 8.439 Å
α = 42.98°, β = 42.98°, γ = 42.98°
Element x y z (fractional)
Rb 0.000 0.000 0.000
Rb 0.204 0.204 0.204
Rb 0.796 0.796 0.796
Se 0.409 0.409 0.409
Se 0.591 0.591 0.591
O 0.271 0.716 0.716
O 0.284 0.284 0.729
O 0.284 0.729 0.284
O 0.336 0.336 0.336
O 0.664 0.664 0.664
O 0.716 0.271 0.716
O 0.716 0.716 0.271
O 0.729 0.284 0.284

---

[7]
Calculated X-ray powder pattern
Compound: RbSeO4
Radiation: Cu Kα (λ = 1.5418 Å)
Structure: a DFT-relaxed cell (PBE, the Materials Project)

Top 10 peaks for 2θ = 10–90°, in order of rising 2θ:
22.84°, intensity 1000; 23.01°, intensity 596; 23.78°, intensity 992; 26.10°, intensity 244; 27.15°, intensity 615; 27.40°, intensity 218; 32.22°, intensity 396; 32.58°, intensity 302; 34.40°, intensity 233; 34.86°, intensity 251

Cell and atoms:
a = 4.696 Å, b = 7.749 Å, c = 19.753 Å
α = 93.03°, β = 92.28°, γ = 92.21°
Element x y z (fractional)
Rb 0.133 0.179 0.089
Rb 0.301 0.261 0.752
Rb 0.311 0.176 0.407
Rb 0.689 0.824 0.593
Rb 0.699 0.739 0.248
Rb 0.867 0.821 0.911
Se 0.163 0.675 0.410
Se 0.255 0.678 0.078
Se 0.299 0.757 0.752
Se 0.701 0.243 0.248
Se 0.745 0.322 0.922
Se 0.837 0.325 0.590
O 0.036 0.623 0.779
O 0.055 0.462 0.969
O 0.074 0.786 0.134
O 0.075 0.795 0.478
O 0.111 0.463 0.620
O 0.189 0.873 0.688
O 0.255 0.800 0.347
O 0.377 0.800 0.018
O 0.420 0.888 0.817
O 0.435 0.548 0.433
O 0.442 0.375 0.275
O 0.462 0.532 0.108
O 0.538 0.468 0.892
O 0.558 0.625 0.725
O 0.565 0.452 0.567
O 0.580 0.112 0.183
O 0.623 0.200 0.982
O 0.745 0.200 0.653
O 0.811 0.127 0.312
O 0.889 0.537 0.380
O 0.925 0.205 0.522
O 0.926 0.214 0.866
O 0.945 0.538 0.031
O 0.964 0.377 0.221

---

[8]
Calculated X-ray powder pattern
Compound: RbSeO4
Radiation: Cu Kα (λ = 1.5418 Å)
Structure: a DFT-relaxed cell (PBE, the Materials Project)

Top 10 peaks for 2θ = 10–90°, in order of rising 2θ:
23.02°, intensity 432; 23.68°, intensity 1000; 24.70°, intensity 120; 26.70°, intensity 340; 29.19°, intensity 113; 33.26°, intensity 680; 35.54°, intensity 214; 37.93°, intensity 104; 46.35°, intensity 99; 54.29°, intensity 108

Cell and atoms:
a = 10.971 Å, b = 10.971 Å, c = 4.546 Å
α = 101.90°, β = 101.90°, γ = 41.23°
Element x y z (fractional)
Rb 0.000 0.000 0.000
Rb 0.248 0.423 0.418
Rb 0.577 0.752 0.582
Se 0.081 0.249 0.709
Se 0.495 0.505 0.000
Se 0.751 0.919 0.291
O 0.150 0.060 0.529
O 0.256 0.205 0.904
O 0.311 0.561 0.043
O 0.439 0.689 0.957
O 0.592 0.018 0.538
O 0.602 0.343 0.697
O 0.650 0.085 0.060
O 0.657 0.398 0.303
O 0.795 0.744 0.096
O 0.915 0.350 0.940
O 0.940 0.850 0.471
O 0.982 0.408 0.462

---

[9]
Calculated X-ray powder pattern
Compound: Rb4SnSe4O4
Radiation: Cu Kα (λ = 1.5418 Å)
Structure: a DFT-relaxed cell (PBE, the Materials Project)

Top 10 peaks for 2θ = 10–90°, in order of rising 2θ:
12.71°, intensity 340; 12.84°, intensity 334; 26.00°, intensity 426; 26.58°, intensity 439; 27.38°, intensity 1000; 28.11°, intensity 726; 29.09°, intensity 358; 31.51°, intensity 293; 32.41°, intensity 345; 44.91°, intensity 279

Cell and atoms:
a = 8.676 Å, b = 9.028 Å, c = 11.411 Å
α = 66.74°, β = 75.70°, γ = 73.09°
Element x y z (fractional)
Rb 0.016 0.311 0.238
Rb 0.300 0.461 0.359
Rb 0.319 0.886 0.502
Rb 0.398 0.361 0.969
Rb 0.602 0.639 0.031
Rb 0.681 0.114 0.498
Rb 0.700 0.539 0.641
Rb 0.984 0.689 0.762
Sn 0.144 0.171 0.756
Sn 0.856 0.829 0.244
Se 0.005 0.209 0.574
Se 0.047 0.749 0.041
Se 0.299 0.863 0.841
Se 0.393 0.321 0.688
Se 0.607 0.679 0.312
Se 0.701 0.137 0.159
Se 0.953 0.251 0.959
Se 0.995 0.791 0.426
O 0.191 0.569 0.112
O 0.322 0.523 0.700
O 0.358 0.209 0.252
O 0.495 0.889 0.696
O 0.505 0.111 0.304
O 0.642 0.791 0.748
O 0.678 0.477 0.300
O 0.809 0.431 0.888